Theoretical powder X-ray diffraction pattern
Compound: KMn2B
Radiation: Cu Kα (λ = 1.5418 Å)
Structure: a crystal structure in Alexandria, relaxed with GGA-PBE
Lines closer than 0.1° are merged.

Structural model:
```
KMn2B
1.0
-3.261 3.261 4.621
3.261 -3.261 4.621
3.261 3.261 -4.621
K Mn B
2 4 2
direct
0.375 0.625 0.750
0.625 0.375 0.250
0.000 0.000 0.000
0.000 0.000 0.500
0.000 0.500 0.000
0.500 0.000 0.500
0.125 0.875 0.250
0.875 0.125 0.750
```

Most intense lines, 15° ≤ 2θ ≤ 90°, by angle:
| 2θ (°) | I/Imax |
| --- | --- |
| 16.64 | 33 |
| 27.33 | 31 |
| 32.17 | 100 |
| 33.64 | 59 |
| 51.45 | 32 |
| 56.40 | 36 |